1.
Starting from a DFT-relaxed cell (GGA-PBE, Alexandria), the X-ray powder pattern of Cr4MoW3 was simulated for Cu Ka.
Kinematic intensities with the Lorentz-polarization factor, no thermal factor.

Main lines, by angle (10° ≤ 2θ ≤ 90°):
| Position (°2θ) | I/Imax | hkl |
| --- | --- | --- |
| 14.63 | 2 | 0 0 2 |
| 29.50 | 32 | 1 0 0 |
| 30.43 | 1 | 1 0 1 |
| 33.08 | 1 | 1 0 2 |
| 37.12 | 1 | 1 0 3 |
| 42.21 | 100 | 1 1 0 |
| 52.34 | 9 | 1 1 4 |
| 61.23 | 16 | 2 0 0 |
| 69.41 | 13 | 2 1 0 |
| 77.18 | 33 | 2 1 4 |

Atomic structure:
```
data_Cr4MoW3
_chemical_formula_sum 'Cr4 Mo1 W3'
_symmetry_space_group_name_H-M 'P 4/m m m'
_symmetry_Int_Tables_number 123
_symmetry_space_group_name_Hall '-P 4 2'
_cell_length_a 3.0276
_cell_length_b 3.0276
_cell_length_c 12.1107
_cell_angle_alpha 90.00
_cell_angle_beta 90.00
_cell_angle_gamma 90.00
loop_
_atom_site_label
_atom_site_fract_x
_atom_site_fract_y
_atom_site_fract_z
_atom_site_occupancy
Cr1 0.0000 0.0000 0.1244 1
Cr2 0.0000 0.0000 0.3749 1
Mo1 0.5000 0.5000 0.0000 1
W1 0.5000 0.5000 0.2497 1
W2 0.5000 0.5000 0.5000 1
```

***

2.
Starting from a DFT-relaxed cell (GGA-PBE, Alexandria), the X-ray powder pattern of CsNpZnO4 was simulated for Cu Ka.
Kinematic intensities with the Lorentz-polarization factor, no thermal factor.

Main lines, by angle (10° ≤ 2θ ≤ 90°):
| Position (°2θ) | I/Imax | hkl |
| --- | --- | --- |
| 15.86 | 100 | 1 0 1 |
| 24.53 | 29 | 1 1 2 |
| 27.40 | 87 | 1 0 3 |
| 27.77 | 32 | 2 0 0 |
| 30.07 | 61 | 0 2 2 |
| 30.18 | 100 | 1 2 1 |
| 31.63 | 52 | 0 0 4 |
| 50.05 | 29 | 1 2 5 |
| 50.28 | 42 | 2 2 4 |
| 50.65 | 30 | 3 2 1 |

Atomic structure:
```
data_CsNpZnO4
_chemical_formula_sum 'Cs4 Np4 Zn4 O16'
_symmetry_space_group_name_H-M 'I m m a'
_symmetry_Int_Tables_number 74
_symmetry_space_group_name_Hall '-I 2b 2'
_cell_length_a 6.4250
_cell_length_b 6.9829
_cell_length_c 11.3265
_cell_angle_alpha 90.00
_cell_angle_beta 90.00
_cell_angle_gamma 90.00
loop_
_atom_site_label
_atom_site_fract_x
_atom_site_fract_y
_atom_site_fract_z
_atom_site_occupancy
Cs1 0.0000 0.2500 0.1695 1
Np1 0.0000 0.0000 0.5000 1
Zn1 0.2500 0.2500 0.7500 1
O1 0.0000 0.0656 0.6899 1
O2 0.1970 0.2500 0.4940 1
```

***

3.
Starting from a DFT-relaxed cell (GGA-PBE, Alexandria), the X-ray powder pattern of U2PbSe4 was simulated for Cu Ka.
Kinematic intensities with the Lorentz-polarization factor, no thermal factor.

Main lines, by angle (10° ≤ 2θ ≤ 90°):
| Position (°2θ) | I/Imax | hkl |
| --- | --- | --- |
| 22.69 | 100 | 0 2 3 |
| 28.00 | 23 | 0 2 4 |
| 29.60 | 28 | 1 3 0 |
| 30.25 | 66 | 1 3 1 |
| 32.13 | 62 | 1 3 2 |
| 38.67 | 48 | 1 1 5 |
| 44.29 | 28 | 2 0 0 |
| 44.53 | 30 | 1 5 3 |
| 44.66 | 30 | 0 6 3 |
| 50.33 | 23 | 2 2 3 |

Atomic structure:
```
data_U2PbSe4
_chemical_formula_sum 'U8 Pb4 Se16'
_symmetry_space_group_name_H-M 'C m c m'
_symmetry_Int_Tables_number 63
_symmetry_space_group_name_Hall '-C 2c 2'
_cell_length_a 4.0902
_cell_length_b 13.4153
_cell_length_c 14.4869
_cell_angle_alpha 90.00
_cell_angle_beta 90.00
_cell_angle_gamma 90.00
loop_
_atom_site_label
_atom_site_fract_x
_atom_site_fract_y
_atom_site_fract_z
_atom_site_occupancy
U1 0.0000 0.1353 0.0654 1
Pb1 0.0000 0.3934 0.2500 1
Se1 0.0000 0.0563 0.2500 1
Se2 0.0000 0.2245 0.6157 1
Se3 0.0000 0.5000 0.0000 1
```

***

4.
Starting from a DFT-relaxed cell (GGA-PBE, Alexandria), the X-ray powder pattern of Na3Pu3NiS8 was simulated for Cu Ka.
Kinematic intensities with the Lorentz-polarization factor, no thermal factor.

Main lines, by angle (10° ≤ 2θ ≤ 90°):
| Position (°2θ) | I/Imax | hkl |
| --- | --- | --- |
| 13.23 | 100 | 0 0 1 |
| 26.82 | 46 | 2 2 -1 |
| 27.92 | 30 | 2 2 0 |
| 31.98 | 78 | 2 2 -2 |
| 34.75 | 18 | 4 0 -3 |
| 41.33 | 22 | 4 0 1 |
| 45.04 | 27 | 4 0 -4 |
| 46.67 | 27 | 0 4 0 |
| 48.73 | 24 | 6 2 -1 |
| 57.69 | 14 | 4 4 0 |

Atomic structure:
```
data_Na3Pu3NiS8
_chemical_formula_sum 'Na6 Pu6 Ni2 S16'
_symmetry_space_group_name_H-M 'C 1 2/m 1'
_symmetry_Int_Tables_number 12
_cell_length_a 13.4795
_cell_length_b 7.7883
_cell_length_c 8.0589
_cell_angle_alpha 90.00
_cell_angle_beta 123.86
_cell_angle_gamma 90.00
loop_
_symmetry_equiv_pos_as_xyz
'x,y,z'
'-x,-y,-z'
'-x,y,-z'
'x,-y,z'
'x+1/2,y+1/2,z'
'-x+1/2,-y+1/2,-z'
'-x+1/2,y+1/2,-z'
'x+1/2,-y+1/2,z'
loop_
_atom_site_label
_atom_site_fract_x
_atom_site_fract_y
_atom_site_fract_z
_atom_site_occupancy
Na1 0.0000 0.0000 0.0000 1
Na2 0.2500 0.2500 0.0000 1
Pu1 0.0000 0.5000 0.5000 1
Pu2 0.2500 0.2500 0.5000 1
Ni1 0.0000 0.0000 0.5000 1
S1 0.0083 0.2304 0.2946 1
S2 0.2210 0.0000 0.7044 1
S3 0.2428 0.5000 0.7284 1
```